Record 1
Starting from the GGA-PBE geometry in OQMD, the XRD peak list of LaPrSbF2 was calculated for Cu Kα (λ = 1.5418 Å).

Largest 6 diffraction maxima, in order of rising 2θ, 2θ from 5° to 70°:
2θ = 27.2°, rel. 100, hkl 1 0 1; 2θ = 34.6°, rel. 48, hkl 0 1 2; 2θ = 42.7°, rel. 40, hkl 1 1 0; 2θ = 44.6°, rel. 27, hkl 0 1 3; 2θ = 51.3°, rel. 17, hkl 0 2 1; 2θ = 68.9°, rel. 14, hkl 2 1 1

Crystal structure
```
data_LaPrSbF2
_space_group_name_H-M_alt 'P 3 m 1'
_space_group_IT_number 156
_space_group_name_Hall 'P 3 -2"'
_cell_length_a 4.2396
_cell_length_b 4.2396
_cell_length_c 7.3064
_cell_angle_alpha 90.00
_cell_angle_beta 90.00
_cell_angle_gamma 120.00
loop_
_atom_site_label
_atom_site_type_symbol
_atom_site_fract_x
_atom_site_fract_y
_atom_site_fract_z
La1 La 0.0000 0.0000 0.0000
Pr1 Pr 0.3333 0.6667 0.5326
Sb1 Sb 0.6667 0.3333 0.2702
F1 F 0.0000 0.0000 0.6654
F2 F 0.3333 0.6667 0.8701
```



Record 2
Starting from the GGA-PBE geometry in OQMD, the XRD peak list of ErMgHg was calculated for Cu Kα (λ = 1.5418 Å).

Largest 6 diffraction maxima, in order of rising 2θ, 2θ from 5° to 70°:
2θ = 23.9°, rel. 37, hkl 1 0 2; 2θ = 25.1°, rel. 46, hkl 1 1 1; 2θ = 33.7°, rel. 100, hkl 2 1 1; 2θ = 38.6°, rel. 32, hkl 1 1 3; 2θ = 38.7°, rel. 33, hkl 0 2 0; 2θ = 44.0°, rel. 26, hkl 3 0 2

Crystal structure
```
data_ErMgHg
_space_group_name_H-M_alt 'P n m a'
_space_group_IT_number 62
_space_group_name_Hall '-P 2ac 2n'
_cell_length_a 6.9914
_cell_length_b 4.6484
_cell_length_c 8.7843
_cell_angle_alpha 90.00
_cell_angle_beta 90.00
_cell_angle_gamma 90.00
loop_
_atom_site_label
_atom_site_type_symbol
_atom_site_fract_x
_atom_site_fract_y
_atom_site_fract_z
Er1 Er 0.0345 0.2500 0.1841
Mg1 Mg 0.1538 0.2500 0.5536
Hg1 Hg 0.2445 0.2500 0.8729
```



Record 3
Starting from the GGA-PBE geometry in OQMD, the XRD peak list of GdPtSO was calculated for Cu Kα (λ = 1.5418 Å).

Largest 6 diffraction maxima, in order of rising 2θ, 2θ from 5° to 70°:
2θ = 28.0°, rel. 56, hkl 0 2 2; 2θ = 28.5°, rel. 72, hkl 1 1 2; 2θ = 29.7°, rel. 100, hkl 0 4 0; 2θ = 31.6°, rel. 53, hkl 2 2 0; 2θ = 39.9°, rel. 70, hkl 2 2 2; 2θ = 51.0°, rel. 56, hkl 0 2 4

Crystal structure
```
data_GdPtSO
_space_group_name_H-M_alt 'P b c a'
_space_group_IT_number 61
_space_group_name_Hall '-P 2ac 2ab'
_cell_length_a 6.4309
_cell_length_b 12.0200
_cell_length_c 7.5007
_cell_angle_alpha 90.00
_cell_angle_beta 90.00
_cell_angle_gamma 90.00
loop_
_atom_site_label
_atom_site_type_symbol
_atom_site_fract_x
_atom_site_fract_y
_atom_site_fract_z
Gd1 Gd 0.0887 0.2105 0.1238
Pt1 Pt 0.2120 0.5104 0.5000
S1 S 0.0034 0.0063 0.7111
O1 O 0.2464 0.7456 0.3746
```



Record 4
Starting from the GGA-PBE geometry in OQMD, the XRD peak list of ErTlTe3Pd was calculated for Cu Kα (λ = 1.5418 Å).

Largest 6 diffraction maxima, in order of rising 2θ, 2θ from 5° to 70°:
2θ = 27.8°, rel. 100, hkl 1 3 1; 2θ = 27.8°, rel. 30, hkl 0 2 3; 2θ = 31.6°, rel. 76, hkl 1 3 2; 2θ = 33.8°, rel. 30, hkl 1 1 3; 2θ = 38.3°, rel. 47, hkl 1 5 2; 2θ = 42.7°, rel. 32, hkl 2 0 0

Crystal structure
```
data_ErTlTe3Pd
_space_group_name_H-M_alt 'C m c m'
_space_group_IT_number 63
_space_group_name_Hall '-C 2c 2'
_cell_length_a 4.2343
_cell_length_b 16.7859
_cell_length_c 10.3990
_cell_angle_alpha 90.00
_cell_angle_beta 90.00
_cell_angle_gamma 90.00
loop_
_atom_site_label
_atom_site_type_symbol
_atom_site_fract_x
_atom_site_fract_y
_atom_site_fract_z
Er1 Er 0.0000 0.0000 0.0000
Tl1 Tl 0.0000 0.2412 0.2500
Te1 Te 0.0000 0.0929 0.7500
Te2 Te 0.0000 0.3753 0.5734
Pd1 Pd 0.0000 0.4904 0.7500
```



Record 5
Starting from the GGA-PBE geometry in OQMD, the XRD peak list of Co8Ge was calculated for Cu Kα (λ = 1.5418 Å).

Largest 6 diffraction maxima, in order of rising 2θ, 2θ from 5° to 70°:
2θ = 9.4°, rel. 100, hkl 0 0 3; 2θ = 42.7°, rel. 59, hkl 1 1 10; 2θ = 44.3°, rel. 68, hkl 3 1 -3; 2θ = 45.2°, rel. 75, hkl 3 1 -4; 2θ = 45.3°, rel. 82, hkl 1 1 11; 2θ = 50.7°, rel. 27, hkl 2 0 -14

Crystal structure
```
data_Co8Ge
_space_group_name_H-M_alt 'C 1 2/m 1'
_space_group_IT_number 12
_space_group_name_Hall '-C 2y'
_cell_length_a 7.8205
_cell_length_b 3.5051
_cell_length_c 28.2996
_cell_angle_alpha 90.00
_cell_angle_beta 90.28
_cell_angle_gamma 90.00
loop_
_atom_site_label
_atom_site_type_symbol
_atom_site_fract_x
_atom_site_fract_y
_atom_site_fract_z
Co1 Co 0.0481 0.0000 0.1800
Co2 Co 0.0488 0.0000 0.9022
Co3 Co 0.0509 0.5000 0.0420
Co4 Co 0.1499 0.0000 0.9858
Co5 Co 0.1507 0.5000 0.1262
Co6 Co 0.1547 0.5000 0.8472
Co7 Co 0.2483 0.5000 0.9305
Co8 Co 0.2501 0.0000 0.7910
Ge1 Ge 0.0476 0.5000 0.7636
```



Record 6
Starting from the GGA-PBE geometry in OQMD, the XRD peak list of Ni12Te was calculated for Cu Kα (λ = 1.5418 Å).

Largest 6 diffraction maxima, in order of rising 2θ, 2θ from 5° to 70°:
2θ = 10.0°, rel. 100, hkl 0 0 3; 2θ = 44.3°, rel. 54, hkl 0 1 -12; 2θ = 44.6°, rel. 54, hkl 1 2 8; 2θ = 44.8°, rel. 54, hkl 2 1 -4; 2θ = 45.0°, rel. 55, hkl 1 -2 0; 2θ = 51.7°, rel. 47, hkl -1 1 12

Crystal structure
```
data_Ni12Te
_space_group_name_H-M_alt 'P -1'
_space_group_IT_number 2
_space_group_name_Hall '-P 1'
_cell_length_a 4.2856
_cell_length_b 5.5094
_cell_length_c 26.6056
_cell_angle_alpha 89.69
_cell_angle_beta 89.94
_cell_angle_gamma 75.00
loop_
_atom_site_label
_atom_site_type_symbol
_atom_site_fract_x
_atom_site_fract_y
_atom_site_fract_z
Ni1 Ni 0.0002 0.2496 0.0614
Ni2 Ni 0.0023 0.7491 0.1841
Ni3 Ni 0.1430 0.3242 0.9033
Ni4 Ni 0.1431 0.8207 0.0264
Ni5 Ni 0.1441 0.3249 0.1503
Ni6 Ni 0.2865 0.3929 0.9913
Ni7 Ni 0.2863 0.8939 0.8692
Ni8 Ni 0.2879 0.8895 0.1140
Ni9 Ni 0.4269 0.9650 0.2018
Ni10 Ni 0.4285 0.4625 0.0794
Ni11 Ni 0.4276 0.4643 0.8311
Ni12 Ni 0.4288 0.9646 0.9561
Te1 Te 0.1466 0.8170 0.7704
```